The following is a computed X-ray diffraction stick pattern of DyErBiSb. It was derived from a GGA-PBE-relaxed structure, using Cu Kα (weighted mean of Kα1 and Kα2).
No peak broadening, texture or thermal motion is included.

abc: 4.4133 4.4133 6.2389
angles: 90.00 90.00 90.00
Atoms (fractional coordinates):
1 Dy 0.0000 0.0000 0.0000
2 Er 0.5000 0.5000 0.5000
3 Bi 0.5000 0.5000 0.0000
4 Sb 0.0000 0.0000 0.5000

Principal peaks in the range 2θ = 5–70°, low angle first:
| 2θ/deg | d/Å | I/Imax |
| --- | --- | --- |
| 14.20 | 6.239 | 2 |
| 20.12 | 4.413 | 3 |
| 28.61 | 3.120 | 100 |
| 32.07 | 2.791 | 1 |
| 35.23 | 2.547 | 2 |
| 40.90 | 2.206 | 77 |
| 43.51 | 2.080 | 1 |
| 45.98 | 1.974 | 1 |
| 50.67 | 1.801 | 28 |
| 55.06 | 1.668 | 1 |
| 59.23 | 1.560 | 13 |
| 67.07 | 1.395 | 36 |